Record 1
Diffraction record for Y2Ho3Cd2. The powder X-ray diffraction pattern is theoretical, not measured: it uses a structure optimized by DFT (PBE) and Cu Kα X-rays.
No peak broadening, texture or thermal motion is included.

Cell and atoms:
```
data_Y2Ho3Cd2
_symmetry_space_group_name_H-M 'R -3 m'
_symmetry_Int_Tables_number 166
_symmetry_space_group_name_Hall '-R 3 2"'
_cell_length_a 5.3630
_cell_length_b 5.3630
_cell_length_c 23.8389
_cell_angle_alpha 90.00
_cell_angle_beta 90.00
_cell_angle_gamma 120.00
loop_
_atom_site_label
_atom_site_fract_x
_atom_site_fract_y
_atom_site_fract_z
Y1 0.0000 0.0000 0.0750
Ho1 0.0000 0.0000 0.3436
Ho2 0.0000 0.0000 0.5000
Cd1 0.0000 0.0000 0.2120
```

Peak list (10 most intense, 15° ≤ 2θ ≤ 90°, sorted by position)
- 2.746 Å, intensity 93.2, (1 0 7)
- 2.682 Å, intensity 100.0, (1 1 0)
- 2.223 Å, intensity 9.9, (1 1 6)
- 1.919 Å, intensity 32.5, (0 2 7)
- 1.598 Å, intensity 17.2, (0 1 14)
- 1.560 Å, intensity 33.0, (2 1 7)
- 1.548 Å, intensity 18.4, (3 0 0)
- 1.341 Å, intensity 11.3, (2 2 0)
- 1.222 Å, intensity 11.7, (1 2 14)
- 1.205 Å, intensity 13.9, (1 3 7)

Record 2
Diffraction record for Y2HoCd3. The powder X-ray diffraction pattern is theoretical, not measured: it uses a structure optimized by DFT (PBE) and Cu Kα X-rays.
No peak broadening, texture or thermal motion is included.

Cell and atoms:
```
data_Y2HoCd3
_symmetry_space_group_name_H-M 'P -3 m 1'
_symmetry_Int_Tables_number 164
_symmetry_space_group_name_Hall '-P 3 2"'
_cell_length_a 5.2869
_cell_length_b 5.2869
_cell_length_c 6.4954
_cell_angle_alpha 90.00
_cell_angle_beta 90.00
_cell_angle_gamma 120.00
loop_
_atom_site_label
_atom_site_fract_x
_atom_site_fract_y
_atom_site_fract_z
Y1 0.3333 0.6667 0.1682
Ho1 0.0000 0.0000 0.5000
Cd1 0.0000 0.0000 0.0000
Cd2 0.3333 0.6667 0.6662
```

Peak list (10 most intense, 15° ≤ 2θ ≤ 90°, sorted by position)
- 4.579 Å, intensity 2.0, (1 0 0)
- 3.742 Å, intensity 1.2, (0 1 1)
- 2.646 Å, intensity 100.0, (1 1 0)
- 1.871 Å, intensity 17.7, (2 0 2)
- 1.530 Å, intensity 9.0, (1 0 4)
- 1.527 Å, intensity 26.8, (3 0 0)
- 1.324 Å, intensity 5.5, (0 2 4)
- 1.322 Å, intensity 5.4, (2 2 0)
- 1.184 Å, intensity 7.7, (2 1 4)
- 1.183 Å, intensity 7.7, (3 1 2)

Record 3
Diffraction record for Y7Ho2Cd2. The powder X-ray diffraction pattern is theoretical, not measured: it uses a structure optimized by DFT (PBE) and Cu Kα X-rays.
No peak broadening, texture or thermal motion is included.

Cell and atoms:
```
data_Y7Ho2Cd2
_symmetry_space_group_name_H-M 'C 1 2/m 1'
_symmetry_Int_Tables_number 12
_cell_length_a 8.558
_cell_length_b 9.808
_cell_length_c 8.454
_cell_angle_alpha 90.00
_cell_angle_beta 109.67
_cell_angle_gamma 90.00
loop_
_symmetry_equiv_pos_as_xyz
'x,y,z'
'-x,-y,-z'
'-x,y,-z'
'x,-y,z'
'x+1/2,y+1/2,z'
'-x+1/2,-y+1/2,-z'
'-x+1/2,y+1/2,-z'
'x+1/2,-y+1/2,z'
loop_
_atom_site_label
_atom_site_fract_x
_atom_site_fract_y
_atom_site_fract_z
Y1 0.000 0.000 0.000
Y2 0.142 0.000 0.418
Y3 0.196 0.322 0.173
Ho1 0.000 0.317 0.500
Cd1 0.119 0.500 0.823
```

Peak list (10 most intense, 15° ≤ 2θ ≤ 90°, sorted by position)
- 3.029 Å, intensity 40.5, (1 3 0)
- 2.836 Å, intensity 77.5, (2 2 -2)
- 2.739 Å, intensity 84.0, (3 1 -1)
- 2.719 Å, intensity 100.0, (1 3 1)
- 2.708 Å, intensity 44.8, (1 1 -3)
- 2.673 Å, intensity 62.9, (2 2 1)
- 2.654 Å, intensity 44.4, (0 0 3)
- 2.573 Å, intensity 71.6, (1 3 -2)
- 2.450 Å, intensity 32.5, (2 0 2)
- 1.616 Å, intensity 29.0, (3 5 -1)

Record 4
Diffraction record for Y3Ho3Cd. The powder X-ray diffraction pattern is theoretical, not measured: it uses a structure optimized by DFT (PBE) and Cu Kα X-rays.
No peak broadening, texture or thermal motion is included.

Cell and atoms:
```
data_Y3Ho3Cd
_symmetry_space_group_name_H-M 'P 63/m'
_symmetry_Int_Tables_number 176
_symmetry_space_group_name_Hall '-P 6c'
_cell_length_a 9.3912
_cell_length_b 9.3912
_cell_length_c 5.5046
_cell_angle_alpha 90.00
_cell_angle_beta 90.00
_cell_angle_gamma 120.00
loop_
_atom_site_label
_atom_site_fract_x
_atom_site_fract_y
_atom_site_fract_z
Y1 0.1069 0.6290 0.2500
Ho1 0.0622 0.8216 0.7500
Cd1 0.3333 0.6667 0.7500
```

Peak list (10 most intense, 15° ≤ 2θ ≤ 90°, sorted by position)
- 3.074 Å, intensity 24.3, (1 2 0)
- 2.752 Å, intensity 24.4, (0 0 2)
- 2.684 Å, intensity 100.0, (1 2 1)
- 2.050 Å, intensity 15.4, (1 2 2)
- 1.775 Å, intensity 18.4, (4 1 0)
- 1.576 Å, intensity 19.6, (1 2 3)
- 1.492 Å, intensity 20.6, (4 1 2)
- 1.480 Å, intensity 14.7, (2 4 1)
- 1.178 Å, intensity 7.0, (2 4 3)
- 1.137 Å, intensity 11.5, (7 0 1)

Record 5
Diffraction record for YHo7Cd2. The powder X-ray diffraction pattern is theoretical, not measured: it uses a structure optimized by DFT (PBE) and Cu Kα X-rays.
No peak broadening, texture or thermal motion is included.

Cell and atoms:
```
data_YHo7Cd2
_symmetry_space_group_name_H-M 'C m m m'
_symmetry_Int_Tables_number 65
_symmetry_space_group_name_Hall '-C 2 2'
_cell_length_a 8.914
_cell_length_b 15.683
_cell_length_c 5.229
_cell_angle_alpha 90.00
_cell_angle_beta 90.00
_cell_angle_gamma 90.00
loop_
_atom_site_label
_atom_site_fract_x
_atom_site_fract_y
_atom_site_fract_z
Y1 0.000 0.000 0.000
Ho1 0.000 0.224 0.000
Ho2 0.000 0.500 0.500
Ho3 0.182 0.117 0.500
Cd1 0.000 0.304 0.500
```

Peak list (10 most intense, 15° ≤ 2θ ≤ 90°, sorted by position)
- 5.229 Å, intensity 64.1, (0 0 1)
- 4.343 Å, intensity 28.9, (0 2 1)
- 3.137 Å, intensity 57.0, (0 4 1)
- 2.944 Å, intensity 76.6, (2 4 0)
- 2.615 Å, intensity 61.7, (0 0 2)
- 2.575 Å, intensity 100.0, (1 5 1)
- 2.549 Å, intensity 77.0, (3 1 1)
- 1.955 Å, intensity 47.6, (2 4 2)
- 1.486 Å, intensity 37.7, (6 0 0)
- 1.445 Å, intensity 30.1, (3 9 1)

Record 6
Diffraction record for Ho3Zn4Cd4. The powder X-ray diffraction pattern is theoretical, not measured: it uses a structure optimized by DFT (PBE) and Cu Kα X-rays.
No peak broadening, texture or thermal motion is included.

Cell and atoms:
```
data_Ho3Zn4Cd4
_symmetry_space_group_name_H-M 'C 1 2/m 1'
_symmetry_Int_Tables_number 12
_cell_length_a 29.323
_cell_length_b 3.498
_cell_length_c 4.686
_cell_angle_alpha 90.00
_cell_angle_beta 99.05
_cell_angle_gamma 90.00
loop_
_symmetry_equiv_pos_as_xyz
'x,y,z'
'-x,-y,-z'
'-x,y,-z'
'x,-y,z'
'x+1/2,y+1/2,z'
'-x+1/2,-y+1/2,-z'
'-x+1/2,y+1/2,-z'
'x+1/2,-y+1/2,z'
loop_
_atom_site_label
_atom_site_fract_x
_atom_site_fract_y
_atom_site_fract_z
Ho1 0.000 0.000 0.000
Ho2 0.140 0.000 0.640
Zn1 0.044 0.500 0.545
Zn2 0.184 0.500 0.183
Cd1 0.092 0.500 0.091
Cd2 0.236 0.500 0.736
```

Peak list (10 most intense, 15° ≤ 2θ ≤ 90°, sorted by position)
- 4.216 Å, intensity 11.6, (2 0 1)
- 2.671 Å, intensity 45.8, (7 1 0)
- 2.614 Å, intensity 100.0, (3 1 1)
- 2.343 Å, intensity 33.6, (2 0 -2)
- 2.295 Å, intensity 57.6, (10 0 1)
- 1.762 Å, intensity 26.3, (5 1 2)
- 1.749 Å, intensity 13.5, (0 2 0)
- 1.690 Å, intensity 12.1, (15 1 0)
- 1.401 Å, intensity 19.7, (2 2 -2)
- 1.391 Å, intensity 22.5, (10 2 1)

Record 7
Diffraction record for HoZn2Cd. The powder X-ray diffraction pattern is theoretical, not measured: it uses a structure optimized by DFT (PBE) and Cu Kα X-rays.
No peak broadening, texture or thermal motion is included.

Cell and atoms:
```
data_HoZn2Cd
_symmetry_space_group_name_H-M 'F m -3 m'
_symmetry_Int_Tables_number 225
_symmetry_space_group_name_Hall '-F 4 2 3'
_cell_length_a 6.788
_cell_length_b 6.788
_cell_length_c 6.788
_cell_angle_alpha 90.00
_cell_angle_beta 90.00
_cell_angle_gamma 90.00
loop_
_atom_site_label
_atom_site_fract_x
_atom_site_fract_y
_atom_site_fract_z
Ho1 0.000 0.000 0.000
Zn1 0.250 0.250 0.250
Cd1 0.000 0.000 0.500
```

Peak list (10 most intense, 15° ≤ 2θ ≤ 90°, sorted by position)
- 3.919 Å, intensity 3.0, (1 1 1)
- 3.394 Å, intensity 12.9, (2 0 0)
- 2.400 Å, intensity 100.0, (2 2 0)
- 2.047 Å, intensity 1.7, (3 1 1)
- 1.959 Å, intensity 3.8, (2 2 2)
- 1.697 Å, intensity 17.0, (4 0 0)
- 1.518 Å, intensity 5.1, (4 2 0)
- 1.386 Å, intensity 33.8, (4 2 2)
- 1.200 Å, intensity 10.5, (4 4 0)
- 1.131 Å, intensity 2.7, (6 0 0)

Record 8
Diffraction record for Ho2ZnCd5. The powder X-ray diffraction pattern is theoretical, not measured: it uses a structure optimized by DFT (PBE) and Cu Kα X-rays.
No peak broadening, texture or thermal motion is included.

Cell and atoms:
```
data_Ho2ZnCd5
_symmetry_space_group_name_H-M 'R -3 m'
_symmetry_Int_Tables_number 166
_symmetry_space_group_name_Hall '-R 3 2"'
_cell_length_a 4.6399
_cell_length_b 4.6399
_cell_length_c 32.6726
_cell_angle_alpha 90.00
_cell_angle_beta 90.00
_cell_angle_gamma 120.00
loop_
_atom_site_label
_atom_site_fract_x
_atom_site_fract_y
_atom_site_fract_z
Ho1 0.0000 0.0000 0.0899
Zn1 0.0000 0.0000 0.0000
Cd1 0.0000 0.0000 0.1966
Cd2 0.0000 0.0000 0.3622
Cd3 0.0000 0.0000 0.5000
```

Peak list (10 most intense, 15° ≤ 2θ ≤ 90°, sorted by position)
- 3.606 Å, intensity 12.0, (1 0 4)
- 3.045 Å, intensity 96.8, (1 0 7)
- 2.535 Å, intensity 35.3, (1 0 10)
- 2.389 Å, intensity 45.9, (0 1 11)
- 2.320 Å, intensity 100.0, (1 1 0)
- 1.845 Å, intensity 22.4, (0 2 7)
- 1.664 Å, intensity 14.9, (2 0 11)
- 1.444 Å, intensity 19.6, (2 1 7)
- 1.352 Å, intensity 14.7, (1 2 11)
- 1.339 Å, intensity 16.7, (3 0 0)

Record 9
Diffraction record for CdI2. The powder X-ray diffraction pattern is theoretical, not measured: it uses a structure optimized by DFT (PBE) and Cu Kα X-rays.
No peak broadening, texture or thermal motion is included.

Cell and atoms:
```
data_CdI2
_symmetry_space_group_name_H-M 'P 3 m 1'
_symmetry_Int_Tables_number 156
_cell_length_a 4.3157
_cell_length_b 4.3157
_cell_length_c 52.4105
_cell_angle_alpha 90.00
_cell_angle_beta 90.00
_cell_angle_gamma 120.00
loop_
_symmetry_equiv_pos_as_xyz
'x,y,z'
'-y,x-y,z'
'-x+y,-x,z'
'-y,-x,z'
'-x+y,y,z'
'x,x-y,z'
loop_
_atom_site_label
_atom_site_fract_x
_atom_site_fract_y
_atom_site_fract_z
Cd1 0.0000 0.0000 0.0000
Cd2 0.0000 0.0000 0.1429
Cd3 0.0000 0.0000 0.2857
Cd4 0.0000 0.0000 0.5716
Cd5 0.0000 0.0000 0.7142
Cd6 0.6667 0.3333 0.4286
Cd7 0.6667 0.3333 0.8572
I1 0.0000 0.0000 0.3956
I2 0.0000 0.0000 0.8242
I3 0.3333 0.6667 0.0330
I4 0.3333 0.6667 0.1759
I5 0.3333 0.6667 0.3187
I6 0.3333 0.6667 0.4616
I7 0.3333 0.6667 0.6046
I8 0.3333 0.6667 0.7472
I9 0.3333 0.6667 0.8902
I10 0.6667 0.3333 0.1099
I11 0.6667 0.3333 0.2527
I12 0.6667 0.3333 0.5386
I13 0.6667 0.3333 0.6812
I14 0.6667 0.3333 0.9670
```

Peak list (10 most intense, 15° ≤ 2θ ≤ 90°, sorted by position)
- 3.344 Å, intensity 100.0, (0 1 7)
- 3.145 Å, intensity 15.6, (0 1 9)
- 2.840 Å, intensity 16.2, (1 0 12)
- 2.645 Å, intensity 31.0, (0 1 14)
- 2.158 Å, intensity 47.9, (1 1 0)
- 2.075 Å, intensity 40.4, (1 0 21)
- 1.871 Å, intensity 16.4, (0 0 28)
- 1.813 Å, intensity 17.0, (2 0 7)
- 1.414 Å, intensity 20.5, (1 1 28)
- 1.230 Å, intensity 19.5, (2 1 21)

Record 10
Diffraction record for CdI3. The powder X-ray diffraction pattern is theoretical, not measured: it uses a structure optimized by DFT (PBE) and Cu Kα X-rays.
No peak broadening, texture or thermal motion is included.

Cell and atoms:
```
data_CdI3
_symmetry_space_group_name_H-M 'I -4 2 d'
_symmetry_Int_Tables_number 122
_symmetry_space_group_name_Hall 'I -4 2bw'
_cell_length_a 8.938
_cell_length_b 8.938
_cell_length_c 8.335
_cell_angle_alpha 90.00
_cell_angle_beta 90.00
_cell_angle_gamma 90.00
loop_
_atom_site_label
_atom_site_fract_x
_atom_site_fract_y
_atom_site_fract_z
Cd1 0.000 0.000 0.000
I1 0.000 0.000 0.500
I2 0.166 0.250 0.125
```

Peak list (10 most intense, 15° ≤ 2θ ≤ 90°, sorted by position)
- 3.604 Å, intensity 35.4, (2 1 1)
- 3.479 Å, intensity 100.0, (1 1 2)
- 3.160 Å, intensity 49.1, (2 2 0)
- 2.376 Å, intensity 17.4, (3 2 1)
- 2.339 Å, intensity 44.4, (3 1 2)
- 2.235 Å, intensity 12.7, (4 0 0)
- 1.999 Å, intensity 11.8, (4 2 0)
- 1.888 Å, intensity 30.4, (2 0 4)
- 1.880 Å, intensity 9.5, (3 3 2)
- 1.616 Å, intensity 11.5, (5 1 2)

Record 11
Diffraction record for CdI. The powder X-ray diffraction pattern is theoretical, not measured: it uses a structure optimized by DFT (PBE) and Cu Kα X-rays.
No peak broadening, texture or thermal motion is included.

Cell and atoms:
```
data_CdI
_symmetry_space_group_name_H-M 'P 4/m'
_symmetry_Int_Tables_number 83
_cell_length_a 12.335
_cell_length_b 12.335
_cell_length_c 4.084
_cell_angle_alpha 90.00
_cell_angle_beta 90.00
_cell_angle_gamma 90.00
loop_
_symmetry_equiv_pos_as_xyz
'x,y,z'
'-x,-y,-z'
'-y,x,z'
'y,-x,-z'
'-x,-y,z'
'x,y,-z'
'y,-x,z'
'-y,x,-z'
loop_
_atom_site_label
_atom_site_fract_x
_atom_site_fract_y
_atom_site_fract_z
Cd1 0.083 0.334 0.000
Cd2 0.085 0.598 0.500
I1 0.171 0.180 0.500
I2 0.247 0.511 0.000
```

Peak list (10 most intense, 15° ≤ 2θ ≤ 90°, sorted by position)
- 3.877 Å, intensity 42.0, (1 0 1)
- 3.421 Å, intensity 94.9, (2 3 0)
- 3.283 Å, intensity 91.3, (1 2 1)
- 2.981 Å, intensity 100.0, (2 2 1)
- 2.821 Å, intensity 46.2, (1 3 1)
- 2.623 Å, intensity 88.4, (3 2 1)
- 2.463 Å, intensity 59.9, (4 0 1)
- 2.113 Å, intensity 87.4, (5 0 1)
- 2.081 Å, intensity 43.0, (5 1 1)
- 2.042 Å, intensity 41.8, (0 0 2)

Record 12
Diffraction record for Cd3I. The powder X-ray diffraction pattern is theoretical, not measured: it uses a structure optimized by DFT (PBE) and Cu Kα X-rays.
No peak broadening, texture or thermal motion is included.

Cell and atoms:
```
data_Cd3I
_symmetry_space_group_name_H-M 'P 4 m m'
_symmetry_Int_Tables_number 99
_cell_length_a 4.249
_cell_length_b 4.249
_cell_length_c 6.873
_cell_angle_alpha 90.00
_cell_angle_beta 90.00
_cell_angle_gamma 90.00
loop_
_symmetry_equiv_pos_as_xyz
'x,y,z'
'-y,x,z'
'-x,-y,z'
'y,-x,z'
'-x,y,z'
'y,x,z'
'x,-y,z'
'-y,-x,z'
loop_
_atom_site_label
_atom_site_fract_x
_atom_site_fract_y
_atom_site_fract_z
Cd1 0.000 0.000 0.000
Cd2 0.000 0.500 0.351
I1 0.500 0.500 0.816
```

Peak list (10 most intense, 15° ≤ 2θ ≤ 90°, sorted by position)
- 3.614 Å, intensity 19.7, (1 0 1)
- 3.437 Å, intensity 24.6, (0 0 2)
- 2.753 Å, intensity 100.0, (1 1 1)
- 2.672 Å, intensity 24.6, (1 0 2)
- 2.124 Å, intensity 28.7, (2 0 0)
- 2.017 Å, intensity 12.4, (1 0 3)
- 1.807 Å, intensity 15.2, (2 0 2)
- 1.663 Å, intensity 11.4, (2 1 2)
- 1.502 Å, intensity 9.1, (2 2 0)
- 1.319 Å, intensity 19.1, (3 1 1)

Please write out number 8 again, unchanged.
Diffraction record for Ho2ZnCd5. The powder X-ray diffraction pattern is theoretical, not measured: it uses a structure optimized by DFT (PBE) and Cu Kα X-rays.
No peak broadening, texture or thermal motion is included.

Cell and atoms:
```
data_Ho2ZnCd5
_symmetry_space_group_name_H-M 'R -3 m'
_symmetry_Int_Tables_number 166
_symmetry_space_group_name_Hall '-R 3 2"'
_cell_length_a 4.6399
_cell_length_b 4.6399
_cell_length_c 32.6726
_cell_angle_alpha 90.00
_cell_angle_beta 90.00
_cell_angle_gamma 120.00
loop_
_atom_site_label
_atom_site_fract_x
_atom_site_fract_y
_atom_site_fract_z
Ho1 0.0000 0.0000 0.0899
Zn1 0.0000 0.0000 0.0000
Cd1 0.0000 0.0000 0.1966
Cd2 0.0000 0.0000 0.3622
Cd3 0.0000 0.0000 0.5000
```

Peak list (10 most intense, 15° ≤ 2θ ≤ 90°, sorted by position)
- 3.606 Å, intensity 12.0, (1 0 4)
- 3.045 Å, intensity 96.8, (1 0 7)
- 2.535 Å, intensity 35.3, (1 0 10)
- 2.389 Å, intensity 45.9, (0 1 11)
- 2.320 Å, intensity 100.0, (1 1 0)
- 1.845 Å, intensity 22.4, (0 2 7)
- 1.664 Å, intensity 14.9, (2 0 11)
- 1.444 Å, intensity 19.6, (2 1 7)
- 1.352 Å, intensity 14.7, (1 2 11)
- 1.339 Å, intensity 16.7, (3 0 0)